Starting from a GGA-PBE-relaxed structure, the powder X-ray diffraction pattern of Ho3ScPb5 was computed for λ = 1.5418 Å (Cu Kα).
Kinematic intensities with the Lorentz-polarization factor, no thermal factor.

The 8 most intense peaks (2θ from 10° to 90°), in order of rising 2θ:
d = 2.781 Å, 32.2 deg, rel. 63; d = 2.722 Å, 32.9 deg, rel. 89; d = 2.651 Å, 33.8 deg, rel. 100; d = 2.136 Å, 42.3 deg, rel. 18; d = 1.899 Å, 47.9 deg, rel. 28; d = 1.757 Å, 52.0 deg, rel. 17; d = 1.558 Å, 59.3 deg, rel. 18; d = 1.381 Å, 67.8 deg, rel. 23

Crystal structure
```
data_Ho3ScPb5
_cell_length_a 9.4307
_cell_length_b 9.4307
_cell_length_c 6.4126
_cell_angle_alpha 90.00
_cell_angle_beta 90.00
_cell_angle_gamma 120.00
_symmetry_space_group_name_H-M 'P 1'
_symmetry_Int_Tables_number 1
loop_
_symmetry_equiv_pos_as_xyz
'x,y,z'
loop_
_atom_site_label
_atom_site_type_symbol
_atom_site_fract_x
_atom_site_fract_y
_atom_site_fract_z
Ho1 Ho 0.0000 0.3834 0.2500
Ho2 Ho 0.0000 0.6166 0.7500
Ho3 Ho 0.3834 0.0000 0.2500
Ho4 Ho 0.3834 0.3834 0.7500
Ho5 Ho 0.6166 0.0000 0.7500
Ho6 Ho 0.6166 0.6166 0.2500
Sc1 Sc 0.0000 0.0000 0.0000
Sc2 Sc 0.0000 0.0000 0.5000
Pb1 Pb 0.0000 0.2776 0.7500
Pb2 Pb 0.0000 0.7224 0.2500
Pb3 Pb 0.2776 0.0000 0.7500
Pb4 Pb 0.2776 0.2776 0.2500
Pb5 Pb 0.3333 0.6667 0.0000
Pb6 Pb 0.3333 0.6667 0.5000
Pb7 Pb 0.6667 0.3333 0.0000
Pb8 Pb 0.6667 0.3333 0.5000
Pb9 Pb 0.7224 0.0000 0.2500
Pb10 Pb 0.7224 0.7224 0.7500
```

***

Starting from a GGA-PBE-relaxed structure, the powder X-ray diffraction pattern of HoScPb2 was computed for λ = 1.5418 Å (Cu Kα).
Kinematic intensities with the Lorentz-polarization factor, no thermal factor.

The 8 most intense peaks (2θ from 10° to 90°), in order of rising 2θ:
d = 3.013 Å, 29.6 deg, rel. 40; d = 2.995 Å, 29.8 deg, rel. 100; d = 2.968 Å, 30.1 deg, rel. 60; d = 2.840 Å, 31.5 deg, rel. 91; d = 2.434 Å, 36.9 deg, rel. 53; d = 2.401 Å, 37.5 deg, rel. 91; d = 2.194 Å, 41.1 deg, rel. 99; d = 1.719 Å, 53.3 deg, rel. 43

Crystal structure
```
data_HoScPb2
_cell_length_a 6.2024
_cell_length_b 6.2096
_cell_length_c 11.6899
_cell_angle_alpha 90.00
_cell_angle_beta 103.68
_cell_angle_gamma 90.00
_symmetry_space_group_name_H-M 'P 1'
_symmetry_Int_Tables_number 1
loop_
_symmetry_equiv_pos_as_xyz
'x,y,z'
loop_
_atom_site_label
_atom_site_type_symbol
_atom_site_fract_x
_atom_site_fract_y
_atom_site_fract_z
Ho1 Ho 0.1862 0.1276 0.1285
Ho2 Ho 0.1862 0.8724 0.6285
Ho3 Ho 0.8138 0.1276 0.3715
Ho4 Ho 0.8138 0.8724 0.8715
Sc1 Sc 0.3296 0.3700 0.8783
Sc2 Sc 0.3296 0.6300 0.3783
Sc3 Sc 0.6704 0.3700 0.6217
Sc4 Sc 0.6704 0.6300 0.1217
Pb1 Pb 0.1655 0.3733 0.6112
Pb2 Pb 0.1655 0.6267 0.1112
Pb3 Pb 0.3277 0.1352 0.4008
Pb4 Pb 0.3277 0.8648 0.9008
Pb5 Pb 0.6723 0.1352 0.0992
Pb6 Pb 0.6723 0.8648 0.5992
Pb7 Pb 0.8345 0.3733 0.8888
Pb8 Pb 0.8345 0.6267 0.3888
```

***

Starting from a GGA-PBE-relaxed structure, the powder X-ray diffraction pattern of Ho6PbSe5 was computed for λ = 1.5418 Å (Cu Kα).
Kinematic intensities with the Lorentz-polarization factor, no thermal factor.

The 8 most intense peaks (2θ from 10° to 90°), in order of rising 2θ:
d = 2.918 Å, 30.6 deg, rel. 100; d = 2.068 Å, 43.8 deg, rel. 37; d = 2.059 Å, 44.0 deg, rel. 37; d = 1.682 Å, 54.5 deg, rel. 20; d = 1.459 Å, 63.8 deg, rel. 12; d = 1.307 Å, 72.3 deg, rel. 17; d = 1.303 Å, 72.6 deg, rel. 17; d = 1.190 Å, 80.7 deg, rel. 12

Crystal structure
```
data_Ho6PbSe5
_cell_length_a 7.1322
_cell_length_b 7.1322
_cell_length_c 7.1756
_cell_angle_alpha 99.55
_cell_angle_beta 99.55
_cell_angle_gamma 120.00
_symmetry_space_group_name_H-M 'P 1'
_symmetry_Int_Tables_number 1
loop_
_symmetry_equiv_pos_as_xyz
'x,y,z'
loop_
_atom_site_label
_atom_site_type_symbol
_atom_site_fract_x
_atom_site_fract_y
_atom_site_fract_z
Ho1 Ho 0.0718 0.4137 0.7410
Ho2 Ho 0.2425 0.2425 0.2552
Ho3 Ho 0.4137 0.0718 0.7410
Ho4 Ho 0.5863 0.9282 0.2590
Ho5 Ho 0.7575 0.7575 0.7448
Ho6 Ho 0.9282 0.5863 0.2590
Pb1 Pb 0.5000 0.5000 0.0000
Se1 Se 0.0000 0.0000 0.5000
Se2 Se 0.1680 0.8320 0.0000
Se3 Se 0.3372 0.6628 0.5000
Se4 Se 0.6628 0.3372 0.5000
Se5 Se 0.8320 0.1680 0.0000
```

***

Starting from a GGA-PBE-relaxed structure, the powder X-ray diffraction pattern of SmHoPbSe was computed for λ = 1.5418 Å (Cu Kα).
Kinematic intensities with the Lorentz-polarization factor, no thermal factor.

The 8 most intense peaks (2θ from 10° to 90°), in order of rising 2θ:
d = 3.068 Å, 29.1 deg, rel. 100; d = 3.036 Å, 29.4 deg, rel. 49; d = 2.169 Å, 41.6 deg, rel. 38; d = 2.158 Å, 41.9 deg, rel. 75; d = 1.765 Å, 51.8 deg, rel. 41; d = 1.372 Å, 68.4 deg, rel. 18; d = 1.369 Å, 68.5 deg, rel. 18; d = 1.250 Å, 76.1 deg, rel. 26

Crystal structure
```
data_SmHoPbSe
_cell_length_a 4.3388
_cell_length_b 4.3388
_cell_length_c 6.0711
_cell_angle_alpha 90.00
_cell_angle_beta 90.00
_cell_angle_gamma 90.00
_symmetry_space_group_name_H-M 'P 1'
_symmetry_Int_Tables_number 1
loop_
_symmetry_equiv_pos_as_xyz
'x,y,z'
loop_
_atom_site_label
_atom_site_type_symbol
_atom_site_fract_x
_atom_site_fract_y
_atom_site_fract_z
Sm1 Sm 0.0000 0.0000 0.0000
Ho1 Ho 0.5000 0.5000 0.5000
Pb1 Pb 0.5000 0.5000 0.0000
Se1 Se 0.0000 0.0000 0.5000
```

***

Starting from a GGA-PBE-relaxed structure, the powder X-ray diffraction pattern of Sm3Ho2Pb4 was computed for λ = 1.5418 Å (Cu Kα).
Kinematic intensities with the Lorentz-polarization factor, no thermal factor.

The 8 most intense peaks (2θ from 10° to 90°), in order of rising 2θ:
d = 3.309 Å, 26.9 deg, rel. 19; d = 3.060 Å, 29.2 deg, rel. 27; d = 2.869 Å, 31.2 deg, rel. 100; d = 2.753 Å, 32.5 deg, rel. 24; d = 2.738 Å, 32.7 deg, rel. 16; d = 2.607 Å, 34.4 deg, rel. 40; d = 2.478 Å, 36.3 deg, rel. 27; d = 1.985 Å, 45.7 deg, rel. 17

Crystal structure
```
data_Sm3Ho2Pb4
_cell_length_a 9.0783
_cell_length_b 9.0783
_cell_length_c 9.0783
_cell_angle_alpha 146.62
_cell_angle_beta 137.25
_cell_angle_gamma 55.30
_symmetry_space_group_name_H-M 'P 1'
_symmetry_Int_Tables_number 1
loop_
_symmetry_equiv_pos_as_xyz
'x,y,z'
loop_
_atom_site_label
_atom_site_type_symbol
_atom_site_fract_x
_atom_site_fract_y
_atom_site_fract_z
Sm1 Sm 0.0000 0.0000 0.0000
Sm2 Sm 0.3840 0.8840 0.5000
Sm3 Sm 0.6160 0.1160 0.5000
Ho1 Ho 0.1621 0.6621 0.5000
Ho2 Ho 0.8379 0.3379 0.5000
Pb1 Pb 0.2527 0.2527 0.0000
Pb2 Pb 0.2774 0.5000 0.7774
Pb3 Pb 0.7226 0.5000 0.2226
Pb4 Pb 0.7473 0.7473 0.0000
```

***

Starting from a GGA-PBE-relaxed structure, the powder X-ray diffraction pattern of Sm8Ho6Pb was computed for λ = 1.5418 Å (Cu Kα).
Kinematic intensities with the Lorentz-polarization factor, no thermal factor.

The 8 most intense peaks (2θ from 10° to 90°), in order of rising 2θ:
d = 3.434 Å, 25.9 deg, rel. 21; d = 3.055 Å, 29.2 deg, rel. 24; d = 3.021 Å, 29.6 deg, rel. 18; d = 2.766 Å, 32.4 deg, rel. 100; d = 2.671 Å, 33.6 deg, rel. 32; d = 1.783 Å, 51.2 deg, rel. 11; d = 1.764 Å, 51.8 deg, rel. 18; d = 1.487 Å, 62.4 deg, rel. 11

Crystal structure
```
data_Sm8Ho6Pb
_cell_length_a 9.3332
_cell_length_b 9.3332
_cell_length_c 6.5138
_cell_angle_alpha 90.00
_cell_angle_beta 90.00
_cell_angle_gamma 120.00
_symmetry_space_group_name_H-M 'P 1'
_symmetry_Int_Tables_number 1
loop_
_symmetry_equiv_pos_as_xyz
'x,y,z'
loop_
_atom_site_label
_atom_site_type_symbol
_atom_site_fract_x
_atom_site_fract_y
_atom_site_fract_z
Sm1 Sm 0.0406 0.7688 0.1786
Sm2 Sm 0.2312 0.2718 0.1786
Sm3 Sm 0.2718 0.0406 0.8214
Sm4 Sm 0.3333 0.6667 0.1555
Sm5 Sm 0.6667 0.3333 0.8445
Sm6 Sm 0.7282 0.9594 0.1786
Sm7 Sm 0.7688 0.7282 0.8214
Sm8 Sm 0.9594 0.2312 0.8214
Ho1 Ho 0.0973 0.6481 0.6673
Ho2 Ho 0.3519 0.4491 0.6673
Ho3 Ho 0.4491 0.0973 0.3327
Ho4 Ho 0.5509 0.9027 0.6673
Ho5 Ho 0.6481 0.5509 0.3327
Ho6 Ho 0.9027 0.3519 0.3327
Pb1 Pb 0.0000 0.0000 0.5000
```

***

Starting from a GGA-PBE-relaxed structure, the powder X-ray diffraction pattern of SmHoTlPb was computed for λ = 1.5418 Å (Cu Kα).
Kinematic intensities with the Lorentz-polarization factor, no thermal factor.

The 8 most intense peaks (2θ from 10° to 90°), in order of rising 2θ:
d = 2.780 Å, 32.2 deg, rel. 100; d = 2.520 Å, 35.6 deg, rel. 38; d = 2.221 Å, 40.6 deg, rel. 13; d = 1.782 Å, 51.3 deg, rel. 14; d = 1.666 Å, 55.1 deg, rel. 22; d = 1.500 Å, 61.8 deg, rel. 32; d = 1.390 Å, 67.4 deg, rel. 12; d = 1.367 Å, 68.7 deg, rel. 12

Crystal structure
```
data_SmHoTlPb
_cell_length_a 5.0402
_cell_length_b 5.0402
_cell_length_c 8.8824
_cell_angle_alpha 90.00
_cell_angle_beta 90.00
_cell_angle_gamma 90.00
_symmetry_space_group_name_H-M 'P 1'
_symmetry_Int_Tables_number 1
loop_
_symmetry_equiv_pos_as_xyz
'x,y,z'
loop_
_atom_site_label
_atom_site_type_symbol
_atom_site_fract_x
_atom_site_fract_y
_atom_site_fract_z
Sm1 Sm 0.0000 0.0000 0.0000
Sm2 Sm 0.5000 0.5000 0.5000
Ho1 Ho 0.0000 0.0000 0.5000
Ho2 Ho 0.5000 0.5000 0.0000
Tl1 Tl 0.0000 0.5000 0.7500
Tl2 Tl 0.5000 0.0000 0.2500
Pb1 Pb 0.0000 0.5000 0.2500
Pb2 Pb 0.5000 0.0000 0.7500
```

***

Starting from a GGA-PBE-relaxed structure, the powder X-ray diffraction pattern of Ho4SnPb was computed for λ = 1.5418 Å (Cu Kα).
Kinematic intensities with the Lorentz-polarization factor, no thermal factor.

The 8 most intense peaks (2θ from 10° to 90°), in order of rising 2θ:
d = 6.965 Å, 12.7 deg, rel. 51; d = 2.959 Å, 30.2 deg, rel. 82; d = 2.954 Å, 30.3 deg, rel. 100; d = 2.629 Å, 34.1 deg, rel. 98; d = 2.607 Å, 34.4 deg, rel. 55; d = 2.599 Å, 34.5 deg, rel. 70; d = 2.548 Å, 35.2 deg, rel. 75; d = 1.511 Å, 61.4 deg, rel. 66

Crystal structure
```
data_Ho4SnPb
_cell_length_a 8.3011
_cell_length_b 8.3011
_cell_length_c 6.3264
_cell_angle_alpha 104.48
_cell_angle_beta 104.48
_cell_angle_gamma 113.75
_symmetry_space_group_name_H-M 'P 1'
_symmetry_Int_Tables_number 1
loop_
_symmetry_equiv_pos_as_xyz
'x,y,z'
loop_
_atom_site_label
_atom_site_type_symbol
_atom_site_fract_x
_atom_site_fract_y
_atom_site_fract_z
Ho1 Ho 0.0778 0.6932 0.9198
Ho2 Ho 0.2270 0.3864 0.6948
Ho3 Ho 0.3068 0.9222 0.5802
Ho4 Ho 0.3864 0.2270 0.1948
Ho5 Ho 0.6136 0.7730 0.8052
Ho6 Ho 0.6932 0.0778 0.4198
Ho7 Ho 0.7730 0.6136 0.3052
Ho8 Ho 0.9222 0.3068 0.0802
Sn1 Sn 0.3792 0.6208 0.2500
Sn2 Sn 0.6208 0.3792 0.7500
Pb1 Pb 0.0015 0.9985 0.2500
Pb2 Pb 0.9985 0.0015 0.7500
```

***

Starting from a GGA-PBE-relaxed structure, the powder X-ray diffraction pattern of TbHo4Pb5 was computed for λ = 1.5418 Å (Cu Kα).
Kinematic intensities with the Lorentz-polarization factor, no thermal factor.

The 8 most intense peaks (2θ from 10° to 90°), in order of rising 2θ:
d = 3.626 Å, 24.6 deg, rel. 2; d = 3.140 Å, 28.4 deg, rel. 100; d = 2.220 Å, 40.6 deg, rel. 78; d = 1.813 Å, 50.3 deg, rel. 28; d = 1.570 Å, 58.8 deg, rel. 13; d = 1.404 Å, 66.6 deg, rel. 37; d = 1.282 Å, 73.9 deg, rel. 28; d = 1.110 Å, 88.0 deg, rel. 9

Crystal structure
```
data_TbHo4Pb5
_cell_length_a 7.6913
_cell_length_b 7.6913
_cell_length_c 7.6913
_cell_angle_alpha 99.59
_cell_angle_beta 99.59
_cell_angle_gamma 131.81
_symmetry_space_group_name_H-M 'P 1'
_symmetry_Int_Tables_number 1
loop_
_symmetry_equiv_pos_as_xyz
'x,y,z'
loop_
_atom_site_label
_atom_site_type_symbol
_atom_site_fract_x
_atom_site_fract_y
_atom_site_fract_z
Tb1 Tb 0.0000 0.0000 0.0000
Ho1 Ho 0.2021 0.4008 0.5996
Ho2 Ho 0.4008 0.8012 0.1986
Ho3 Ho 0.6026 0.2021 0.8014
Ho4 Ho 0.8012 0.6026 0.4004
Pb1 Pb 0.1015 0.7003 0.7984
Pb2 Pb 0.3031 0.1015 0.4012
Pb3 Pb 0.4998 0.4998 0.0000
Pb4 Pb 0.7003 0.9019 0.5988
Pb5 Pb 0.9019 0.3031 0.2016
```

***

Starting from a GGA-PBE-relaxed structure, the powder X-ray diffraction pattern of Tb12Ho7Pb was computed for λ = 1.5418 Å (Cu Kα).
Kinematic intensities with the Lorentz-polarization factor, no thermal factor.

The 8 most intense peaks (2θ from 10° to 90°), in order of rising 2θ:
d = 2.938 Å, 30.4 deg, rel. 33; d = 2.873 Å, 31.1 deg, rel. 37; d = 2.843 Å, 31.5 deg, rel. 100; d = 2.746 Å, 32.6 deg, rel. 56; d = 2.706 Å, 33.1 deg, rel. 63; d = 2.641 Å, 34.0 deg, rel. 27; d = 1.722 Å, 53.2 deg, rel. 18; d = 1.699 Å, 54.0 deg, rel. 19

Crystal structure
```
data_Tb12Ho7Pb
_cell_length_a 8.6257
_cell_length_b 8.6257
_cell_length_c 8.6257
_cell_angle_alpha 88.57
_cell_angle_beta 88.57
_cell_angle_gamma 88.57
_symmetry_space_group_name_H-M 'P 1'
_symmetry_Int_Tables_number 1
loop_
_symmetry_equiv_pos_as_xyz
'x,y,z'
loop_
_atom_site_label
_atom_site_type_symbol
_atom_site_fract_x
_atom_site_fract_y
_atom_site_fract_z
Tb1 Tb 0.0002 0.3568 0.8831
Tb2 Tb 0.9998 0.6432 0.1169
Tb3 Tb 0.1169 0.9998 0.6432
Tb4 Tb 0.2367 0.6317 0.7589
Tb5 Tb 0.2411 0.7633 0.3683
Tb6 Tb 0.3568 0.8831 0.0002
Tb7 Tb 0.3683 0.2411 0.7633
Tb8 Tb 0.6317 0.7589 0.2367
Tb9 Tb 0.6432 0.1169 0.9998
Tb10 Tb 0.7589 0.2367 0.6317
Tb11 Tb 0.7633 0.3683 0.2411
Tb12 Tb 0.8831 0.0002 0.3568
Ho1 Ho 0.0000 0.0000 0.0000
Ho2 Ho 0.1152 0.3528 0.4386
Ho3 Ho 0.3528 0.4386 0.1152
Ho4 Ho 0.4386 0.1152 0.3528
Ho5 Ho 0.5614 0.8848 0.6472
Ho6 Ho 0.6472 0.5614 0.8848
Ho7 Ho 0.8848 0.6472 0.5614
Pb1 Pb 0.5000 0.5000 0.5000
```

***

Starting from a GGA-PBE-relaxed structure, the powder X-ray diffraction pattern of Tb3HoPb2 was computed for λ = 1.5418 Å (Cu Kα).
Kinematic intensities with the Lorentz-polarization factor, no thermal factor.

The 8 most intense peaks (2θ from 10° to 90°), in order of rising 2θ:
d = 3.230 Å, 27.6 deg, rel. 22; d = 3.024 Å, 29.5 deg, rel. 77; d = 2.869 Å, 31.2 deg, rel. 38; d = 2.583 Å, 34.7 deg, rel. 100; d = 2.284 Å, 39.5 deg, rel. 58; d = 1.787 Å, 51.1 deg, rel. 39; d = 1.615 Å, 57.0 deg, rel. 20; d = 1.369 Å, 68.5 deg, rel. 34

Crystal structure
```
data_Tb3HoPb2
_cell_length_a 4.5676
_cell_length_b 4.5676
_cell_length_c 8.6074
_cell_angle_alpha 90.00
_cell_angle_beta 90.00
_cell_angle_gamma 90.00
_symmetry_space_group_name_H-M 'P 1'
_symmetry_Int_Tables_number 1
loop_
_symmetry_equiv_pos_as_xyz
'x,y,z'
loop_
_atom_site_label
_atom_site_type_symbol
_atom_site_fract_x
_atom_site_fract_y
_atom_site_fract_z
Tb1 Tb 0.0000 0.0000 0.0000
Tb2 Tb 0.0000 0.5000 0.6577
Tb3 Tb 0.5000 0.0000 0.3423
Ho1 Ho 0.5000 0.5000 0.0000
Pb1 Pb 0.0000 0.5000 0.2845
Pb2 Pb 0.5000 0.0000 0.7155
```

***

Starting from a GGA-PBE-relaxed structure, the powder X-ray diffraction pattern of HoTe4Pb2 was computed for λ = 1.5418 Å (Cu Kα).
Kinematic intensities with the Lorentz-polarization factor, no thermal factor.

The 8 most intense peaks (2θ from 10° to 90°), in order of rising 2θ:
d = 4.118 Å, 21.6 deg, rel. 73; d = 3.308 Å, 26.9 deg, rel. 100; d = 3.227 Å, 27.6 deg, rel. 89; d = 3.016 Å, 29.6 deg, rel. 93; d = 2.410 Å, 37.3 deg, rel. 75; d = 2.361 Å, 38.1 deg, rel. 48; d = 2.248 Å, 40.1 deg, rel. 45; d = 2.186 Å, 41.3 deg, rel. 42

Crystal structure
```
data_HoTe4Pb2
_cell_length_a 7.8957
_cell_length_b 7.8957
_cell_length_c 14.7094
_cell_angle_alpha 90.00
_cell_angle_beta 90.00
_cell_angle_gamma 147.86
_symmetry_space_group_name_H-M 'P 1'
_symmetry_Int_Tables_number 1
loop_
_symmetry_equiv_pos_as_xyz
'x,y,z'
loop_
_atom_site_label
_atom_site_type_symbol
_atom_site_fract_x
_atom_site_fract_y
_atom_site_fract_z
Ho1 Ho 0.1092 0.8908 0.7500
Ho2 Ho 0.8908 0.1092 0.2500
Te1 Te 0.0000 0.0000 0.0000
Te2 Te 0.0000 0.0000 0.5000
Te3 Te 0.2872 0.7128 0.1364
Te4 Te 0.2872 0.7128 0.3636
Te5 Te 0.4673 0.5327 0.7500
Te6 Te 0.5327 0.4673 0.2500
Te7 Te 0.7128 0.2872 0.6364
Te8 Te 0.7128 0.2872 0.8636
Pb1 Pb 0.3658 0.6342 0.5656
Pb2 Pb 0.3658 0.6342 0.9344
Pb3 Pb 0.6342 0.3658 0.0656
Pb4 Pb 0.6342 0.3658 0.4344
```